Diffraction record for RbIn2PdBr8. The X-ray diffraction stick pattern is computed, not measured: it uses a DFT-relaxed cell (PBE, Alexandria) and λ = 1.5418 Å (Cu Kα).
Peak positions follow from Bragg's law for the DFT cell and can differ from measured ones.

Main lines, in order of rising 2θ (10° ≤ 2θ ≤ 90°):
2theta, intensity
18.55, 89.6
25.16, 51.4
25.80, 100.0
27.15, 55.9
30.89, 53.5
31.97, 32.7
36.35, 47.0
42.98, 74.2
45.49, 77.6
52.69, 34.6

Cell and atoms:
Cell lengths 11.3423, 11.3423, 11.3423 Å; angles 35.45, 35.45, 35.45 degrees
Element x y z (fractional)
Rb (0.0000, 0.0000, 0.0000)
In (0.2475, 0.2475, 0.2475)
In (0.7525, 0.7525, 0.7525)
Pd (0.5000, 0.5000, 0.5000)
Br (0.1366, 0.4263, 0.7629)
Br (0.2371, 0.5737, 0.8634)
Br (0.3278, 0.3278, 0.3278)
Br (0.4263, 0.7629, 0.1366)
Br (0.5737, 0.8634, 0.2371)
Br (0.6722, 0.6722, 0.6722)
Br (0.7629, 0.1366, 0.4263)
Br (0.8634, 0.2371, 0.5737)


Diffraction record for CsMo3Br3Cl4. The X-ray diffraction stick pattern is computed, not measured: it uses a DFT-relaxed cell (PBE, Alexandria) and λ = 1.5418 Å (Cu Kα).
Peak positions follow from Bragg's law for the DFT cell and can differ from measured ones.

Main lines, in order of rising 2θ (10° ≤ 2θ ≤ 90°):
2theta, intensity
10.01, 42.5
10.90, 31.3
11.40, 100.0
14.82, 87.9
20.56, 49.6
28.10, 49.1
30.34, 39.7
37.09, 24.3
41.82, 50.4
47.91, 34.2

Cell and atoms:
Cell lengths 10.2058, 10.2058, 16.2316 Å; angles 90.00, 90.00, 120.00 degrees
Element x y z (fractional)
Cs (0.0000, 0.0000, 0.0000)
Cs (0.0000, 0.0000, 0.5000)
Cs (0.3333, 0.6667, 0.2488)
Cs (0.6667, 0.3333, 0.7488)
Mo (0.1834, 0.5186, 0.6836)
Mo (0.1836, 0.6653, 0.8155)
Mo (0.3347, 0.5183, 0.8155)
Mo (0.3353, 0.8166, 0.6836)
Mo (0.4814, 0.6647, 0.6836)
Mo (0.4817, 0.8164, 0.8155)
Mo (0.5183, 0.3347, 0.3155)
Mo (0.5186, 0.1834, 0.1836)
Mo (0.6653, 0.1836, 0.3155)
Mo (0.6647, 0.4814, 0.1836)
Mo (0.8164, 0.4817, 0.3155)
Mo (0.8166, 0.3353, 0.1836)
Br (0.0385, 0.6901, 0.4020)
Br (0.0390, 0.3495, 0.0971)
Br (0.3099, 0.3484, 0.4020)
Br (0.3106, 0.9610, 0.0971)
Br (0.3484, 0.3099, 0.9020)
Br (0.3495, 0.0390, 0.5971)
Br (0.6505, 0.6894, 0.0971)
Br (0.6516, 0.9615, 0.4020)
Br (0.6894, 0.6505, 0.5971)
Br (0.6901, 0.0385, 0.9020)
Br (0.9610, 0.3106, 0.5971)
Br (0.9615, 0.6516, 0.9020)
Cl (0.0537, 0.3826, 0.8136)
Cl (0.0543, 0.6722, 0.6856)
Cl (0.3278, 0.3821, 0.6856)
Cl (0.3289, 0.9463, 0.8136)
Cl (0.3333, 0.6667, 0.5623)
Cl (0.3333, 0.6667, 0.9369)
Cl (0.3821, 0.3278, 0.1856)
Cl (0.3826, 0.0537, 0.3136)
Cl (0.6174, 0.6711, 0.8136)
Cl (0.6179, 0.9457, 0.6856)
Cl (0.6667, 0.3333, 0.0623)
Cl (0.6667, 0.3333, 0.4369)
Cl (0.6711, 0.6174, 0.3136)
Cl (0.6722, 0.0543, 0.1856)
Cl (0.9463, 0.3289, 0.3136)
Cl (0.9457, 0.6179, 0.1856)


Diffraction record for TaNb3Mo3. The X-ray diffraction stick pattern is computed, not measured: it uses a DFT-relaxed cell (PBE, Alexandria) and λ = 1.5418 Å (Cu Kα).
Peak positions follow from Bragg's law for the DFT cell and can differ from measured ones.

Main lines, in order of rising 2θ (10° ≤ 2θ ≤ 90°):
2theta, intensity
13.81, 11.7
19.58, 8.8
27.82, 6.7
39.76, 51.1
40.07, 100.0
57.48, 17.0
58.42, 8.1
72.37, 33.9
73.00, 16.6
86.49, 10.9

Cell and atoms:
Cell lengths 6.4129, 6.4129, 6.3184 Å; angles 90.00, 90.00, 90.02 degrees
Element x y z (fractional)
Ta (0.2482, 0.2482, 0.0000)
Ta (0.7518, 0.7518, 0.0000)
Nb (0.2515, 0.2515, 0.5000)
Nb (0.2522, 0.7478, 0.0000)
Nb (0.2519, 0.7481, 0.5000)
Nb (0.7478, 0.2522, 0.0000)
Nb (0.7481, 0.2519, 0.5000)
Nb (0.7485, 0.7485, 0.5000)
Mo (0.0000, 0.0000, 0.2503)
Mo (0.0000, 0.0000, 0.7497)
Mo (0.0000, 0.5000, 0.2499)
Mo (0.0000, 0.5000, 0.7501)
Mo (0.5000, 0.0000, 0.2499)
Mo (0.5000, 0.0000, 0.7501)


Diffraction record for AlSbS2. The X-ray diffraction stick pattern is computed, not measured: it uses a DFT-relaxed cell (PBE, Alexandria) and λ = 1.5418 Å (Cu Kα).
Peak positions follow from Bragg's law for the DFT cell and can differ from measured ones.

Main lines, in order of rising 2θ (10° ≤ 2θ ≤ 90°):
2theta, intensity
14.97, 71.9
28.08, 100.0
31.81, 54.8
32.12, 30.5
37.08, 36.0
38.45, 33.6
40.68, 26.4
45.59, 28.8
54.48, 25.1
55.49, 23.6

Cell and atoms:
Cell lengths 4.8491, 10.3630, 7.2097 Å; angles 90.00, 90.00, 90.00 degrees
Element x y z (fractional)
Al (0.2500, 0.1413, 0.0000)
Al (0.2500, 0.3587, 0.5000)
Al (0.7500, 0.6413, 0.5000)
Al (0.7500, 0.8587, 0.0000)
Sb (0.2500, 0.5878, 0.8833)
Sb (0.2500, 0.9122, 0.3833)
Sb (0.7500, 0.0878, 0.3833)
Sb (0.7500, 0.4122, 0.8833)
S (0.2500, 0.1823, 0.6909)
S (0.2500, 0.3177, 0.1909)
S (0.2500, 0.5896, 0.5310)
S (0.2500, 0.9104, 0.0310)
S (0.7500, 0.0896, 0.0310)
S (0.7500, 0.4104, 0.5310)
S (0.7500, 0.6823, 0.1909)
S (0.7500, 0.8177, 0.6909)


Diffraction record for Pr3Cd2Au. The X-ray diffraction stick pattern is computed, not measured: it uses a DFT-relaxed cell (PBE, Alexandria) and λ = 1.5418 Å (Cu Kα).
Peak positions follow from Bragg's law for the DFT cell and can differ from measured ones.

Main lines, in order of rising 2θ (10° ≤ 2θ ≤ 90°):
2theta, intensity
32.97, 97.6
33.14, 100.0
47.45, 35.1
58.76, 19.3
59.10, 36.2
59.21, 18.7
69.15, 11.8
69.56, 11.5
78.86, 16.5
79.15, 15.5

Cell and atoms:
Cell lengths 5.4058, 5.4058, 6.6725 Å; angles 90.00, 90.00, 120.00 degrees
Element x y z (fractional)
Pr (0.0000, 0.0000, 0.0000)
Pr (0.3333, 0.6667, 0.6483)
Pr (0.6667, 0.3333, 0.3517)
Cd (0.3333, 0.6667, 0.1442)
Cd (0.6667, 0.3333, 0.8558)
Au (0.0000, 0.0000, 0.5000)


Diffraction record for Cs2InF6. The X-ray diffraction stick pattern is computed, not measured: it uses a DFT-relaxed cell (PBE, Alexandria) and λ = 1.5418 Å (Cu Kα).
Peak positions follow from Bragg's law for the DFT cell and can differ from measured ones.

Main lines, in order of rising 2θ (10° ≤ 2θ ≤ 90°):
2theta, intensity
17.69, 23.6
23.30, 100.0
26.82, 97.8
30.53, 29.8
35.82, 70.4
41.08, 25.2
45.31, 31.2
47.37, 20.0
55.24, 39.0
75.67, 17.7

Cell and atoms:
Cell lengths 6.6480, 6.6480, 10.2013 Å; angles 90.00, 90.00, 120.00 degrees
Element x y z (fractional)
Cs (0.0000, 0.0000, 0.0000)
Cs (0.0000, 0.0000, 0.5000)
Cs (0.3333, 0.6667, 0.2673)
Cs (0.6667, 0.3333, 0.7673)
In (0.3333, 0.6667, 0.6661)
In (0.6667, 0.3333, 0.1661)
F (0.0406, 0.5203, 0.5412)
F (0.1756, 0.3512, 0.7674)
F (0.1756, 0.8244, 0.7674)
F (0.3512, 0.1756, 0.2674)
F (0.4797, 0.5203, 0.5412)
F (0.4797, 0.9594, 0.5412)
F (0.5203, 0.0406, 0.0412)
F (0.5203, 0.4797, 0.0412)
F (0.6488, 0.8244, 0.7674)
F (0.8244, 0.1756, 0.2674)
F (0.8244, 0.6488, 0.2674)
F (0.9594, 0.4797, 0.0412)


Diffraction record for Na5Cr2N5. The X-ray diffraction stick pattern is computed, not measured: it uses a DFT-relaxed cell (PBE, Alexandria) and λ = 1.5418 Å (Cu Kα).
Peak positions follow from Bragg's law for the DFT cell and can differ from measured ones.

Main lines, in order of rising 2θ (10° ≤ 2θ ≤ 90°):
2theta, intensity
16.50, 100.0
29.31, 44.7
31.87, 36.0
34.86, 36.4
35.00, 45.2
37.60, 81.5
37.85, 47.3
39.35, 64.4
40.34, 75.5
41.63, 63.1

Cell and atoms:
Cell lengths 5.7644, 5.7644, 8.7834 Å; angles 103.59, 103.59, 32.00 degrees
Element x y z (fractional)
Na (0.0000, 0.0000, 0.0000)
Na (0.1649, 0.1649, 0.5826)
Na (0.2716, 0.2716, 0.8722)
Na (0.7284, 0.7284, 0.1278)
Na (0.8351, 0.8351, 0.4174)
Cr (0.4705, 0.4705, 0.6946)
Cr (0.5295, 0.5295, 0.3054)
N (0.1187, 0.1187, 0.2870)
N (0.3997, 0.3997, 0.1559)
N (0.5000, 0.5000, 0.5000)
N (0.6003, 0.6003, 0.8441)
N (0.8813, 0.8813, 0.7130)


Diffraction record for SmHo3Se4. The X-ray diffraction stick pattern is computed, not measured: it uses a DFT-relaxed cell (PBE, Alexandria) and λ = 1.5418 Å (Cu Kα).
Peak positions follow from Bragg's law for the DFT cell and can differ from measured ones.

Main lines, in order of rising 2θ (10° ≤ 2θ ≤ 90°):
2theta, intensity
26.48, 10.9
26.97, 10.3
30.96, 100.0
43.73, 12.8
44.34, 49.4
44.98, 11.9
54.53, 13.4
55.60, 12.7
64.52, 12.1
73.27, 22.2

Cell and atoms:
Cell lengths 8.2794, 11.5609, 4.0304 Å; angles 90.00, 90.00, 90.00 degrees
Element x y z (fractional)
Sm (0.0000, 0.0000, 0.0000)
Sm (0.5000, 0.5000, 0.0000)
Ho (0.0000, 0.5000, 0.0000)
Ho (0.2500, 0.2500, 0.5000)
Ho (0.2500, 0.7500, 0.5000)
Ho (0.5000, 0.0000, 0.0000)
Ho (0.7500, 0.2500, 0.5000)
Ho (0.7500, 0.7500, 0.5000)
Se (0.0000, 0.2536, 0.0000)
Se (0.0000, 0.7464, 0.0000)
Se (0.2427, 0.5000, 0.5000)
Se (0.2573, 0.0000, 0.5000)
Se (0.5000, 0.2464, 0.0000)
Se (0.5000, 0.7536, 0.0000)
Se (0.7427, 0.0000, 0.5000)
Se (0.7573, 0.5000, 0.5000)


Diffraction record for ZnSn2Sb2Pd7. The X-ray diffraction stick pattern is computed, not measured: it uses a DFT-relaxed cell (PBE, Alexandria) and λ = 1.5418 Å (Cu Kα).
Peak positions follow from Bragg's law for the DFT cell and can differ from measured ones.

Main lines, in order of rising 2θ (10° ≤ 2θ ≤ 90°):
2theta, intensity
32.92, 48.8
33.11, 33.5
34.52, 43.9
37.16, 45.1
40.55, 40.9
41.71, 27.5
42.28, 29.9
42.86, 40.6
44.60, 41.9
46.25, 100.0

Cell and atoms:
Cell lengths 3.9301, 3.9301, 15.0690 Å; angles 94.84, 94.84, 89.50 degrees
Element x y z (fractional)
Zn (0.0000, 0.0000, 0.0000)
Sn (0.4187, 0.4187, 0.7456)
Sn (0.5813, 0.5813, 0.2544)
Sb (0.1437, 0.1437, 0.3914)
Sb (0.8563, 0.8563, 0.6086)
Pd (0.0418, 0.5419, 0.1316)
Pd (0.3272, 0.3272, 0.5640)
Pd (0.4581, 0.9582, 0.8684)
Pd (0.5000, 0.5000, 0.0000)
Pd (0.5419, 0.0418, 0.1316)
Pd (0.6728, 0.6728, 0.4360)
Pd (0.9582, 0.4581, 0.8684)


Diffraction record for TbMn2Pd9. The X-ray diffraction stick pattern is computed, not measured: it uses a DFT-relaxed cell (PBE, Alexandria) and λ = 1.5418 Å (Cu Kα).
Peak positions follow from Bragg's law for the DFT cell and can differ from measured ones.

Main lines, in order of rising 2θ (10° ≤ 2θ ≤ 90°):
2theta, intensity
23.39, 2.6
35.04, 3.0
39.05, 100.0
45.16, 33.6
45.88, 14.7
65.78, 10.6
66.35, 18.8
79.24, 24.2
80.28, 9.5
83.90, 9.7

Cell and atoms:
Cell lengths 4.0153, 4.0153, 11.8664 Å; angles 90.00, 90.00, 90.00 degrees
Element x y z (fractional)
Tb (0.0000, 0.0000, 0.0000)
Mn (0.0000, 0.0000, 0.3413)
Mn (0.0000, 0.0000, 0.6587)
Pd (0.0000, 0.5000, 0.1796)
Pd (0.0000, 0.5000, 0.5000)
Pd (0.0000, 0.5000, 0.8204)
Pd (0.5000, 0.0000, 0.1796)
Pd (0.5000, 0.0000, 0.5000)
Pd (0.5000, 0.0000, 0.8204)
Pd (0.5000, 0.5000, 0.0000)
Pd (0.5000, 0.5000, 0.3391)
Pd (0.5000, 0.5000, 0.6609)


Diffraction record for K4Ac3PmSe8. The X-ray diffraction stick pattern is computed, not measured: it uses a DFT-relaxed cell (PBE, Alexandria) and λ = 1.5418 Å (Cu Kα).
Peak positions follow from Bragg's law for the DFT cell and can differ from measured ones.

Main lines, in order of rising 2θ (10° ≤ 2θ ≤ 90°):
2theta, intensity
11.46, 57.6
23.05, 24.2
27.50, 100.0
35.52, 18.5
38.68, 36.2
39.90, 37.7
41.65, 16.3
49.14, 29.9
63.36, 15.1
65.08, 21.2

Cell and atoms:
Cell lengths 9.3208, 9.3208, 9.3208 Å; angles 58.01, 58.01, 58.01 degrees
Element x y z (fractional)
K (0.0000, 0.0000, 0.0000)
K (0.0000, 0.5000, 0.5000)
K (0.5000, 0.0000, 0.5000)
K (0.5000, 0.5000, 0.0000)
Ac (0.0000, 0.0000, 0.5000)
Ac (0.0000, 0.5000, 0.0000)
Ac (0.5000, 0.0000, 0.0000)
Pm (0.5000, 0.5000, 0.5000)
Se (0.2401, 0.2401, 0.2401)
Se (0.2494, 0.7322, 0.7322)
Se (0.2678, 0.2678, 0.7506)
Se (0.2678, 0.7506, 0.2678)
Se (0.7322, 0.2494, 0.7322)
Se (0.7322, 0.7322, 0.2494)
Se (0.7506, 0.2678, 0.2678)
Se (0.7599, 0.7599, 0.7599)


Diffraction record for Ac2PrDySb4. The X-ray diffraction stick pattern is computed, not measured: it uses a DFT-relaxed cell (PBE, Alexandria) and λ = 1.5418 Å (Cu Kα).
Peak positions follow from Bragg's law for the DFT cell and can differ from measured ones.

Main lines, in order of rising 2θ (10° ≤ 2θ ≤ 90°):
2theta, intensity
23.49, 8.5
27.19, 100.0
38.83, 77.3
45.88, 5.2
48.05, 27.8
56.08, 13.0
63.42, 35.7
70.31, 26.1
83.34, 8.2
89.69, 17.6

Cell and atoms:
Cell lengths 8.0296, 4.6397, 8.0342 Å; angles 90.00, 109.46, 90.00 degrees
Element x y z (fractional)
Ac (0.0000, 0.0000, 0.0000)
Ac (0.5000, 0.5000, 0.0000)
Pr (0.0000, 0.5000, 0.5000)
Dy (0.5000, 0.0000, 0.5000)
Sb (0.2496, 0.0000, 0.7337)
Sb (0.2614, 0.5000, 0.2696)
Sb (0.7386, 0.5000, 0.7304)
Sb (0.7504, 0.0000, 0.2663)